[1]
Calculated X-ray powder pattern of P3Se for copper Kα, from a structure optimized by DFT (GGA-PBE).

Main lines, sorted by position (10° ≤ 2θ ≤ 80°):
Position (°2θ)	I_rel	hkl
16.25	100	0 0 1
16.37	12	2 0 0
28.18	46	1 1 0
30.57	29	1 1 -1
33.09	24	4 0 0
33.48	11	4 0 -2
40.75	23	3 1 -2
43.96	12	4 0 1
44.58	12	4 0 -3
51.95	14	3 1 -3

Unit cell a=12.3793 b=3.3114 c=6.2353 alpha=90.00 beta=118.99 gamma=90.00
Space group Cm (No. 8)
One atom of each set of equivalent atoms:
P 0.0000 0.0000 0.0000 (multiplicity 2)
P 0.0400 0.5000 0.8007 (multiplicity 2)
P 0.2408 0.5000 0.0593 (multiplicity 2)
Se 0.2868 0.5000 0.7539 (multiplicity 2)

---

[2]
Calculated X-ray powder pattern of BaCePrO4 for copper Kα, from a structure optimized by DFT (GGA-PBE).

Main lines, sorted by position (10° ≤ 2θ ≤ 80°):
Position (°2θ)	I_rel	hkl
28.43	100	1 0 3
29.62	56	1 1 0
38.83	13	0 0 6
42.39	28	2 0 0
49.59	26	1 1 6
51.83	39	2 1 3
58.83	15	2 0 6
61.51	12	2 2 0
69.11	8	3 0 3
69.73	11	3 1 0

Unit cell a=4.2649 b=4.2649 c=13.9146 alpha=90.00 beta=90.00 gamma=90.00
Space group I4mm (No. 107)
One atom of each set of equivalent atoms:
Ba 0.0000 0.0000 0.0000 (multiplicity 2)
Ce 0.0000 0.0000 0.3451 (multiplicity 2)
Pr 0.0000 0.0000 0.6942 (multiplicity 2)
O 0.0000 0.0000 0.1666 (multiplicity 2)
O 0.0000 0.0000 0.5238 (multiplicity 2)
O 0.0000 0.5000 0.2993 (multiplicity 4)

---

[3]
Calculated X-ray powder pattern of ErThTe2 for copper Kα, from a structure optimized by DFT (GGA-PBE).

Main lines, sorted by position (10° ≤ 2θ ≤ 80°):
Position (°2θ)	I_rel	hkl
20.24	2	1 1 1
23.41	6	2 0 0
33.34	100	2 2 0
41.14	2	2 2 2
47.87	18	4 0 0
53.95	3	4 2 0
59.59	38	4 2 2
70.02	12	4 4 0
74.97	1	6 0 0
79.80	17	6 2 0

Unit cell a=7.6010 b=7.6010 c=7.6010 alpha=90.00 beta=90.00 gamma=90.00
Space group Fm-3m (No. 225)
One atom of each set of equivalent atoms:
Er 0.0000 0.0000 0.0000 (multiplicity 4)
Th 0.0000 0.0000 0.5000 (multiplicity 4)
Te 0.2500 0.2500 0.2500 (multiplicity 8)

---

[4]
Calculated X-ray powder pattern of La4Nd6Sm for copper Kα, from a structure optimized by DFT (GGA-PBE).

Main lines, sorted by position (10° ≤ 2θ ≤ 80°):
Position (°2θ)	I_rel	hkl
27.93	45	1 1 4
28.20	61	2 0 2
29.26	36	1 0 5
29.78	100	2 1 1
33.66	46	2 0 4
36.69	26	1 1 6
37.33	21	2 2 0
39.65	27	2 1 5
49.59	22	2 2 6
55.90	24	4 1 1

Unit cell a=6.8137 b=6.8137 c=17.0665 alpha=90.00 beta=90.00 gamma=90.00
Space group I-42m (No. 121)
One atom of each set of equivalent atoms:
La 0.1619 0.1619 0.3768 (multiplicity 8)
Nd 0.0000 0.5000 0.0000 (multiplicity 4)
Nd 0.1846 0.1846 0.1805 (multiplicity 8)
Sm 0.0000 0.0000 0.0000 (multiplicity 2)

---

[5]
Calculated X-ray powder pattern of BeCl2 for copper Kα, from a structure optimized by DFT (GGA-PBE).

Main lines, sorted by position (10° ≤ 2θ ≤ 80°):
Position (°2θ)	I_rel	hkl
13.76	100	1 0 1
15.41	26	1 1 0
25.92	48	2 1 1
31.11	13	2 2 0
31.86	58	0 0 3
32.92	48	2 2 1
33.11	30	0 1 3
34.16	38	1 3 1
38.98	18	3 1 2
45.13	11	2 3 2

Unit cell a=11.4987 b=11.4987 c=8.4331 alpha=90.00 beta=90.00 gamma=120.00
Space group P3_221 (No. 154)
One atom of each set of equivalent atoms:
Be 0.0000 0.5883 0.3333 (multiplicity 3)
Be 0.2640 0.5584 0.1933 (multiplicity 6)
Cl 0.0804 0.5377 0.1486 (multiplicity 6)
Cl 0.1417 0.7607 0.4383 (multiplicity 6)
Cl 0.2750 0.6992 0.7633 (multiplicity 6)

---

[6]
Calculated X-ray powder pattern of Ho5Tm8Zr for copper Kα, from a structure optimized by DFT (GGA-PBE).

Main lines, sorted by position (10° ≤ 2θ ≤ 80°):
Position (°2θ)	I_rel	hkl
30.23	46	2 2 -2
31.92	48	2 2 1
32.07	79	1 1 2
32.28	43	4 2 -1
32.47	23	1 3 0
32.78	90	5 1 -1
33.35	16	0 2 2
33.53	100	4 0 -3
39.41	21	3 3 -2
44.56	17	3 3 1

Unit cell a=14.7607 b=8.4834 c=8.2463 alpha=90.00 beta=122.65 gamma=90.00
Space group C2 (No. 5)
One atom of each set of equivalent atoms:
Ho 0.0000 0.0000 0.0000 (multiplicity 2)
Ho 0.0498 0.6641 0.2566 (multiplicity 4)
Ho 0.0972 0.3388 0.9585 (multiplicity 4)
Tm 0.1318 0.9259 0.6695 (multiplicity 4)
Tm 0.1563 0.5407 0.6895 (multiplicity 4)
Tm 0.1823 0.2361 0.4213 (multiplicity 4)
Tm 0.2060 0.7248 0.0866 (multiplicity 4)
Zr 0.0000 0.2415 0.5000 (multiplicity 2)

---

[7]
Calculated X-ray powder pattern of K2AlH3O for copper Kα, from a structure optimized by DFT (GGA-PBE).

Main lines, sorted by position (10° ≤ 2θ ≤ 80°):
Position (°2θ)	I_rel	hkl
13.13	30	0 0 2
24.93	20	1 0 1
30.24	100	0 1 3
31.29	47	1 0 3
33.26	53	1 1 0
42.98	25	1 1 4
46.28	18	0 2 0
49.20	15	2 0 0
56.93	16	1 2 3
58.84	25	2 1 3

Unit cell a=3.7041 b=3.9232 c=13.4836 alpha=90.00 beta=90.00 gamma=90.00
Space group Immm (No. 71)
One atom of each set of equivalent atoms:
K 0.0000 0.0000 0.1408 (multiplicity 4)
Al 0.0000 0.0000 0.5000 (multiplicity 2)
H 0.0000 0.0000 0.3637 (multiplicity 4)
H 0.0000 0.5000 0.5000 (multiplicity 2)
O 0.0000 0.5000 0.0000 (multiplicity 2)

---

[8]
Calculated X-ray powder pattern of ZnTc2 for copper Kα, from a structure optimized by DFT (GGA-PBE).

Main lines, sorted by position (10° ≤ 2θ ≤ 80°):
Position (°2θ)	I_rel	hkl
31.33	2	0 2 1
41.40	100	1 3 1
41.60	2	1 5 0
42.83	22	0 6 0
42.96	23	2 0 0
57.63	9	0 0 2
62.27	14	2 6 0
74.46	16	2 0 2
77.47	14	1 9 1
77.65	15	3 3 1

Unit cell a=4.2109 b=12.6683 c=3.1989 alpha=90.00 beta=90.00 gamma=90.00
Space group Cmcm (No. 63)
One atom of each set of equivalent atoms:
Zn 0.0000 0.0770 0.2500 (multiplicity 4)
Tc 0.0000 0.2440 0.7500 (multiplicity 4)
Tc 0.0000 0.4146 0.2500 (multiplicity 4)

---

Copy entry 4 word for word.
Calculated X-ray powder pattern of La4Nd6Sm for copper Kα, from a structure optimized by DFT (GGA-PBE).

Main lines, sorted by position (10° ≤ 2θ ≤ 80°):
Position (°2θ)	I_rel	hkl
27.93	45	1 1 4
28.20	61	2 0 2
29.26	36	1 0 5
29.78	100	2 1 1
33.66	46	2 0 4
36.69	26	1 1 6
37.33	21	2 2 0
39.65	27	2 1 5
49.59	22	2 2 6
55.90	24	4 1 1

Unit cell a=6.8137 b=6.8137 c=17.0665 alpha=90.00 beta=90.00 gamma=90.00
Space group I-42m (No. 121)
One atom of each set of equivalent atoms:
La 0.1619 0.1619 0.3768 (multiplicity 8)
Nd 0.0000 0.5000 0.0000 (multiplicity 4)
Nd 0.1846 0.1846 0.1805 (multiplicity 8)
Sm 0.0000 0.0000 0.0000 (multiplicity 2)